Record 1
Starting from the PBE geometry in OQMD, the PXRD pattern of YHfAg6 was calculated for λ = 1.5418 Å (Cu Kα).
Peak positions follow from Bragg's law for the DFT cell and can differ from measured ones.

Principal peaks in the range 2θ from 15° to 90°, low angle first:
| two_theta | I/Imax |
| --- | --- |
| 34.18 | 27.4 |
| 35.44 | 9.5 |
| 36.48 | 41.7 |
| 38.89 | 100.0 |
| 40.03 | 50.3 |
| 50.85 | 17.2 |
| 60.36 | 8.7 |
| 62.82 | 15.4 |
| 67.26 | 18.8 |
| 68.05 | 9.9 |
| 72.62 | 10.4 |
| 74.90 | 32.6 |

Cell and atoms:
Cell lengths 4.926, 6.134, 5.065 Å; angles 90.00, 90.00, 90.00 degrees
Fractional positions:
Y 0.000 0.000 0.000
Hf 0.500 0.500 0.312
Ag 0.000 0.266 0.495
Ag 0.000 0.500 0.995
Ag 0.000 0.734 0.495
Ag 0.500 0.000 0.342
Ag 0.500 0.258 0.818
Ag 0.500 0.742 0.818



Record 2
Starting from the PBE geometry in OQMD, the PXRD pattern of CdGa2Se4 was calculated for λ = 1.5418 Å (Cu Kα).
Peak positions follow from Bragg's law for the DFT cell and can differ from measured ones.

Principal peaks in the range 2θ from 15° to 90°, low angle first:
| two_theta | I/Imax |
| --- | --- |
| 21.51 | 9.9 |
| 27.07 | 100.0 |
| 27.18 | 33.0 |
| 35.35 | 7.2 |
| 43.77 | 17.2 |
| 43.88 | 17.0 |
| 45.43 | 14.9 |
| 45.56 | 29.1 |
| 45.69 | 14.5 |
| 52.16 | 14.9 |
| 52.33 | 14.5 |
| 55.27 | 11.3 |

Cell and atoms:
Cell lengths 5.828, 5.858, 6.816 Å; angles 115.24, 115.09, 90.13 degrees
Fractional positions:
Cd 0.000 0.000 0.000
Ga 0.251 0.749 0.499
Ga 0.501 0.497 0.998
Se 0.121 0.584 0.722
Se 0.416 0.396 0.279
Se 0.603 0.135 0.718
Se 0.864 0.878 0.279



Record 3
Starting from the PBE geometry in OQMD, the PXRD pattern of GdGa was calculated for λ = 1.5418 Å (Cu Kα).
Peak positions follow from Bragg's law for the DFT cell and can differ from measured ones.

Principal peaks in the range 2θ from 15° to 90°, low angle first:
| two_theta | I/Imax |
| --- | --- |
| 19.20 | 12.0 |
| 29.08 | 36.1 |
| 35.08 | 100.0 |
| 38.98 | 16.0 |
| 49.35 | 16.9 |
| 51.55 | 21.3 |
| 60.28 | 4.6 |
| 63.88 | 17.3 |
| 66.47 | 19.6 |
| 68.09 | 14.3 |
| 74.14 | 5.0 |
| 86.44 | 15.2 |

Cell and atoms:
Cell lengths 3.546, 3.546, 4.622 Å; angles 90.00, 90.00, 120.00 degrees
Fractional positions:
Gd 0.000 0.000 0.000
Ga 0.333 0.667 0.500



Record 4
Starting from the PBE geometry in OQMD, the PXRD pattern of BaAg2GeSe2S2 was calculated for λ = 1.5418 Å (Cu Kα).
Peak positions follow from Bragg's law for the DFT cell and can differ from measured ones.

Principal peaks in the range 2θ from 15° to 90°, low angle first:
| two_theta | I/Imax |
| --- | --- |
| 25.34 | 38.6 |
| 27.61 | 82.9 |
| 27.88 | 100.0 |
| 30.24 | 23.8 |
| 30.42 | 14.7 |
| 36.15 | 65.6 |
| 45.90 | 25.5 |
| 46.09 | 31.2 |
| 46.26 | 15.6 |
| 46.43 | 20.0 |
| 50.49 | 23.7 |
| 58.75 | 16.9 |

Cell and atoms:
Cell lengths 6.486, 6.486, 7.030 Å; angles 122.21, 122.21, 65.60 degrees
Fractional positions:
Ba 0.000 0.000 0.000
Ag 0.256 0.245 0.736
Ag 0.755 0.744 0.264
Ge 0.522 0.478 0.500
Se 0.160 0.523 0.148
Se 0.477 0.840 0.852
S 0.545 0.142 0.533
S 0.858 0.455 0.467



Record 5
Starting from the PBE geometry in OQMD, the PXRD pattern of K2PdWN4 was calculated for λ = 1.5418 Å (Cu Kα).
Peak positions follow from Bragg's law for the DFT cell and can differ from measured ones.

Principal peaks in the range 2θ from 15° to 90°, low angle first:
| two_theta | I/Imax |
| --- | --- |
| 19.07 | 82.6 |
| 29.06 | 60.1 |
| 32.51 | 100.0 |
| 34.99 | 24.8 |
| 41.56 | 24.5 |
| 50.82 | 12.9 |
| 53.73 | 48.2 |
| 60.05 | 17.7 |
| 68.08 | 11.5 |
| 68.24 | 12.4 |
| 70.13 | 10.1 |
| 84.94 | 12.2 |

Cell and atoms:
Cell lengths 5.619, 5.619, 5.619 Å; angles 113.69, 113.69, 101.33 degrees
Fractional positions:
K 0.000 0.000 0.000
K 0.750 0.250 0.500
Pd 0.250 0.750 0.500
W 0.500 0.500 0.000
N 0.228 0.559 0.101
N 0.441 0.542 0.668
N 0.458 0.126 0.899
N 0.874 0.772 0.332